Diffraction record for Li7USe6. The powder X-ray diffraction pattern is theoretical, not measured: it uses a structure optimized by DFT (GGA-PBE) and λ = 1.5418 Å (Cu Kα).

Cell and atoms:
```
data_Li7USe6
_chemical_formula_sum 'Li21 U3 Se18'
_space_group_name_H-M_alt 'R 3'
_space_group_IT_number 146
_space_group_name_Hall 'R 3'
_cell_length_a 7.3254
_cell_length_b 7.3254
_cell_length_c 19.5862
_cell_angle_alpha 90.00
_cell_angle_beta 90.00
_cell_angle_gamma 120.00
loop_
_atom_site_label
_atom_site_fract_x
_atom_site_fract_y
_atom_site_fract_z
Li1 0.0000 0.0000 0.0000
Li2 0.0297 0.3407 0.8773
Li3 0.0372 0.6706 0.1136
U1 0.0000 0.0000 0.6621
Se1 0.0082 0.3686 0.4095
Se2 0.0081 0.6953 0.5814
```

Top 10 peaks for 2θ from 10° to 90°, by angle:
| (hkl) | two_theta | d_spacing | I_rel |
| --- | --- | --- | --- |
| 0 0 3 | 13.56 | 6.529 | 24 |
| 1 0 1 | 14.68 | 6.035 | 71 |
| 0 1 2 | 16.65 | 5.324 | 55 |
| 1 0 4 | 22.94 | 3.876 | 15 |
| 2 -1 3 | 27.93 | 3.194 | 100 |
| 2 -1 6 | 36.88 | 2.437 | 54 |
| 3 0 0 | 42.76 | 2.115 | 38 |
| 1 1 9 | 48.67 | 1.871 | 28 |
| 2 2 3 | 51.85 | 1.763 | 16 |
| 3 0 12 | 73.28 | 1.292 | 17 |



Diffraction record for Li3U5Se8. The powder X-ray diffraction pattern is theoretical, not measured: it uses a structure optimized by DFT (GGA-PBE) and λ = 1.5418 Å (Cu Kα).

Cell and atoms:
```
data_Li3U5Se8
_chemical_formula_sum 'Li9 U15 Se24'
_space_group_name_H-M_alt 'R -3 m'
_space_group_IT_number 166
_space_group_name_Hall '-R 3 2"'
_cell_length_a 7.9848
_cell_length_b 7.9848
_cell_length_c 20.0791
_cell_angle_alpha 90.00
_cell_angle_beta 90.00
_cell_angle_gamma 120.00
loop_
_atom_site_label
_atom_site_fract_x
_atom_site_fract_y
_atom_site_fract_z
Li1 0.0000 0.5000 0.0000
U1 0.0000 0.0000 0.0000
U2 0.0000 0.0000 0.5000
U3 0.0000 0.5000 0.5000
Se1 0.0000 0.0000 0.2546
Se2 0.0085 0.5043 0.2544
```

Top 10 peaks for 2θ from 10° to 90°, by angle:
| (hkl) | two_theta | d_spacing | I_rel |
| --- | --- | --- | --- |
| 0 0 3 | 13.23 | 6.693 | 29 |
| 0 2 1 | 26.15 | 3.407 | 23 |
| 0 2 4 | 31.42 | 2.847 | 100 |
| 2 0 5 | 34.22 | 2.620 | 14 |
| 2 0 8 | 44.61 | 2.031 | 38 |
| 2 2 0 | 45.44 | 1.996 | 36 |
| 4 0 4 | 56.28 | 1.635 | 19 |
| 2 2 12 | 73.91 | 1.282 | 17 |
| 2 4 4 | 75.12 | 1.265 | 17 |
| 4 2 8 | 83.38 | 1.159 | 13 |



Diffraction record for Li4U3Se8. The powder X-ray diffraction pattern is theoretical, not measured: it uses a structure optimized by DFT (GGA-PBE) and λ = 1.5418 Å (Cu Kα).

Cell and atoms:
```
data_Li4U3Se8
_chemical_formula_sum 'Li12 U9 Se24'
_space_group_name_H-M_alt 'R -3 m'
_space_group_IT_number 166
_space_group_name_Hall '-R 3 2"'
_cell_length_a 8.1523
_cell_length_b 8.1523
_cell_length_c 20.6258
_cell_angle_alpha 90.00
_cell_angle_beta 90.00
_cell_angle_gamma 120.00
loop_
_atom_site_label
_atom_site_fract_x
_atom_site_fract_y
_atom_site_fract_z
Li1 0.0000 0.0000 0.0000
Li2 0.0000 0.0000 0.1345
Li3 0.0000 0.0000 0.5000
U1 0.0000 0.5000 0.0000
Se1 0.0000 0.0000 0.2565
Se2 0.0058 0.5029 0.2560
```

Top 10 peaks for 2θ from 10° to 90°, by angle:
| (hkl) | two_theta | d_spacing | I_rel |
| --- | --- | --- | --- |
| 0 0 3 | 12.88 | 6.875 | 80 |
| 1 0 1 | 13.25 | 6.680 | 22 |
| 0 2 1 | 25.60 | 3.479 | 40 |
| 0 2 4 | 30.69 | 2.913 | 100 |
| 0 2 7 | 39.85 | 2.262 | 21 |
| 2 0 8 | 43.46 | 2.082 | 38 |
| 2 2 0 | 44.45 | 2.038 | 38 |
| 2 2 3 | 46.47 | 1.954 | 21 |
| 4 0 4 | 54.99 | 1.670 | 19 |
| 2 4 4 | 73.29 | 1.292 | 17 |



Diffraction record for LiV4Se8. The powder X-ray diffraction pattern is theoretical, not measured: it uses a structure optimized by DFT (GGA-PBE) and λ = 1.5418 Å (Cu Kα).

Cell and atoms:
```
data_LiV4Se8
_chemical_formula_sum 'Li2 V8 Se16'
_space_group_name_H-M_alt 'C 1 2/m 1'
_space_group_IT_number 12
_cell_length_a 12.0981
_cell_length_b 6.9494
_cell_length_c 8.7660
_cell_angle_alpha 90.00
_cell_angle_beta 131.76
_cell_angle_gamma 90.00
loop_
_space_group_symop_operation_xyz
'x,y,z'
'-x,-y,-z'
'-x,y,-z'
'x,-y,z'
'x+1/2,y+1/2,z'
'-x+1/2,-y+1/2,-z'
'-x+1/2,y+1/2,-z'
'x+1/2,-y+1/2,z'
loop_
_atom_site_label
_atom_site_fract_x
_atom_site_fract_y
_atom_site_fract_z
Li1 0.0000 0.0000 0.0000
V1 0.0000 0.2775 0.5000
V2 0.2344 0.5000 0.5106
Se1 0.0121 0.0000 0.7059
Se2 0.0392 0.5000 0.7526
Se3 0.2231 0.2584 0.2679
```

Top 10 peaks for 2θ from 10° to 90°, by angle:
| (hkl) | two_theta | d_spacing | I_rel |
| --- | --- | --- | --- |
| 0 0 1 | 13.54 | 6.539 | 67 |
| 0 0 2 | 27.28 | 3.270 | 25 |
| 4 0 -1 | 32.22 | 2.778 | 41 |
| 2 2 0 | 32.52 | 2.753 | 34 |
| 2 2 -2 | 32.93 | 2.720 | 100 |
| 4 0 0 | 39.96 | 2.256 | 27 |
| 2 2 -3 | 41.07 | 2.198 | 36 |
| 2 2 2 | 51.35 | 1.779 | 34 |
| 6 2 -3 | 52.51 | 1.743 | 45 |
| 0 4 0 | 52.68 | 1.737 | 16 |